Structure and theoretical powder XRD pattern of Li4FeW3O12 (the GGA+U geometry in Alexandria; a wavelength of 1.5418 Å).

Structural model:
a b c (Å): 5.040 8.864 5.118
angles (deg): 90.00 90.73 90.00
Fractional positions:
1 Li 0.000 0.000 0.000
2 Li 0.000 0.354 0.500
3 Li 0.500 0.483 0.500
4 Li 0.500 0.856 0.000
5 Fe 0.500 0.091 0.500
6 W 0.000 0.578 0.000
7 W 0.000 0.795 0.500
8 W 0.500 0.259 0.000
9 O 0.200 0.613 0.685
10 O 0.204 0.759 0.183
11 O 0.236 0.926 0.657
12 O 0.244 0.442 0.145
13 O 0.278 0.118 0.157
14 O 0.308 0.292 0.688
15 O 0.692 0.292 0.312
16 O 0.722 0.118 0.843
17 O 0.756 0.442 0.855
18 O 0.764 0.926 0.343
19 O 0.796 0.759 0.817
20 O 0.800 0.613 0.315

Top 8 peaks for 10° ≤ 2θ ≤ 90°, most intense first:
20.27°, I 100.0, (1 1 0)
20.03°, I 55.9, (0 1 1)
31.95°, I 38.0, (1 2 -1)
32.21°, I 35.7, (1 2 1)
35.07°, I 33.1, (0 0 2)
40.66°, I 21.2, (1 1 -2)
41.03°, I 19.8, (1 1 2)
54.85°, I 17.9, (1 5 0)